Starting from a GGA-PBE-relaxed structure, the powder X-ray diffraction pattern of TlTe5Pb4 was computed for Cu Ka.
Neutral-atom scattering factors, no anomalous dispersion.

Atomic structure:
```
TlTe5Pb4
1.0
-2.3050 2.3050 16.4624
2.3050 -2.3050 16.4624
2.3050 2.3050 -16.4624
Tl Te Pb
1 5 4
Direct
0.0000 0.0000 0.0000
0.1012 0.1012 0.0000
0.3003 0.3003 0.0000
0.5000 0.5000 0.0000
0.6997 0.6997 0.0000
0.8988 0.8988 0.0000
0.1993 0.1993 0.0000
0.3992 0.3992 0.0000
0.6008 0.6008 0.0000
0.8007 0.8007 0.0000
```

Top 8 peaks for 5 to 70 degrees two-theta, most intense first:
Position (°2θ), I_rel
27.4, 1000
38.9, 794
27.1, 512
48.2, 432
39.1, 392
63.3, 191
63.7, 189
63.9, 188